No. 1
Diffraction record for LuZn12. The powder diffraction line list is calculated, not measured: it uses a cell relaxed with GGA-PBE and Cu Kα (weighted mean of Kα1 and Kα2).

The 12 most intense peaks (10 to 90 degrees two-theta), in order of rising 2θ:
2theta	I_rel
28.35	25
34.00	19
35.08	51
39.89	76
40.84	100
41.15	55
45.13	33
46.27	14
61.59	17
65.50	24
74.14	23
74.78	20

Atomic structure:
```
data_LuZn12
_chemical_formula_sum 'Lu1 Zn12'
_cell_length_a 6.741
_cell_length_b 6.741
_cell_length_c 6.741
_cell_angle_alpha 98.80
_cell_angle_beta 98.80
_cell_angle_gamma 133.95
_symmetry_space_group_name_H-M 'P 1'
_symmetry_Int_Tables_number 1
loop_
_symmetry_equiv_pos_as_xyz
'x,y,z'
loop_
_atom_site_label
_atom_site_fract_x
_atom_site_fract_y
_atom_site_fract_z
Lu1 0.000 0.000 0.000
Zn1 0.000 0.000 0.500
Zn2 0.000 0.352 0.352
Zn3 0.000 0.500 0.000
Zn4 0.000 0.648 0.648
Zn5 0.284 0.500 0.784
Zn6 0.352 0.000 0.352
Zn7 0.500 0.000 0.000
Zn8 0.500 0.284 0.784
Zn9 0.500 0.500 0.500
Zn10 0.500 0.716 0.216
Zn11 0.648 0.000 0.648
Zn12 0.716 0.500 0.216
```

No. 2
Diffraction record for CeDy7. The powder diffraction line list is calculated, not measured: it uses a cell relaxed with GGA-PBE and Cu Kα (weighted mean of Kα1 and Kα2).

The 8 most intense peaks (10 to 90 degrees two-theta), in order of rising 2θ:
2theta	I_rel
30.97	100
35.92	51
51.70	36
61.50	43
64.56	12
76.14	6
84.44	18
87.17	17

Atomic structure:
```
data_CeDy7
_chemical_formula_sum 'Ce1 Dy7'
_cell_length_a 7.072
_cell_length_b 7.072
_cell_length_c 7.072
_cell_angle_alpha 60.00
_cell_angle_beta 60.00
_cell_angle_gamma 60.00
_symmetry_space_group_name_H-M 'P 1'
_symmetry_Int_Tables_number 1
loop_
_symmetry_equiv_pos_as_xyz
'x,y,z'
loop_
_atom_site_label
_atom_site_fract_x
_atom_site_fract_y
_atom_site_fract_z
Ce1 0.000 0.000 0.000
Dy1 0.000 0.000 0.500
Dy2 0.000 0.500 0.000
Dy3 0.000 0.500 0.500
Dy4 0.500 0.000 0.000
Dy5 0.500 0.000 0.500
Dy6 0.500 0.500 0.000
Dy7 0.500 0.500 0.500
```

No. 3
Diffraction record for TaSe2Br8. The powder diffraction line list is calculated, not measured: it uses a cell relaxed with GGA-PBE and Cu Kα (weighted mean of Kα1 and Kα2).

The 12 most intense peaks (10 to 90 degrees two-theta), in order of rising 2θ:
2theta	I_rel
11.14	100
13.45	74
14.22	50
26.60	21
28.00	22
28.67	25
34.67	16
34.82	17
35.47	13
35.61	14
43.59	22
44.80	16

Atomic structure:
```
data_TaSe2Br8
_chemical_formula_sum 'Ta1 Se2 Br8'
_cell_length_a 7.508
_cell_length_b 8.554
_cell_length_c 8.573
_cell_angle_alpha 93.34
_cell_angle_beta 108.86
_cell_angle_gamma 109.65
_symmetry_space_group_name_H-M 'P 1'
_symmetry_Int_Tables_number 1
loop_
_symmetry_equiv_pos_as_xyz
'x,y,z'
loop_
_atom_site_label
_atom_site_fract_x
_atom_site_fract_y
_atom_site_fract_z
Ta1 0.000 0.000 0.000
Se1 0.213 0.877 0.874
Se2 0.787 0.123 0.126
Br1 0.045 0.629 0.629
Br2 0.154 0.127 0.748
Br3 0.157 0.750 0.124
Br4 0.315 0.214 0.209
Br5 0.685 0.786 0.791
Br6 0.843 0.250 0.876
Br7 0.846 0.873 0.252
Br8 0.955 0.371 0.371
```